1.
Structure and simulated powder diffractogram of NaMg14BO15 (a cell relaxed with PBE; Cu Kα (λ = 1.5418 Å)).
Lines closer than 0.1° are merged.

Largest 10 diffraction maxima, in order of falling intensity, 2θ from 10° to 90°:
2theta  Rel. int.  index
41.49  100  2 0 0
41.82  92  0 0 4
43.33  73  0 4 0
60.38  54  2 0 4
61.55  44  2 4 0
61.80  42  0 4 4
77.20  39  2 4 4
36.35  37  1 2 2
74.92  9  1 6 2
10.24  9  0 0 1

Crystal structure
Cell lengths 4.3525, 8.3520, 8.6399 Å; angles 90.00, 90.00, 90.00 degrees
Space group Pmm2 (No. 25)
Unique sites:
Na 0.0000 0.0000 0.0000 [1 per cell]
Mg 0.0000 0.0000 0.5065 [1 per cell]
Mg 0.0000 0.2432 0.2584 [2 per cell]
Mg 0.0000 0.2648 0.7528 [2 per cell]
Mg 0.0000 0.5000 0.5033 [1 per cell]
Mg 0.5000 0.0000 0.2503 [1 per cell]
Mg 0.5000 0.0000 0.7616 [1 per cell]
Mg 0.5000 0.2495 0.5053 [2 per cell]
Mg 0.5000 0.2609 0.0068 [2 per cell]
Mg 0.5000 0.5000 0.2531 [1 per cell]
Mg 0.5000 0.5000 0.7648 [1 per cell]
B 0.0000 0.5000 0.0645 [1 per cell]
O 0.0000 0.0000 0.2631 [1 per cell]
O 0.0000 0.2525 0.4987 [2 per cell]
O 0.0000 0.3305 0.0138 [2 per cell]
O 0.0000 0.5000 0.2376 [1 per cell]
O 0.0000 0.5000 0.7306 [1 per cell]
O 0.5000 0.0000 0.0063 [1 per cell]
O 0.5000 0.0000 0.5064 [1 per cell]
O 0.5000 0.2495 0.2531 [2 per cell]
O 0.5000 0.2540 0.7594 [2 per cell]
O 0.5000 0.5000 0.0168 [1 per cell]
O 0.5000 0.5000 0.4922 [1 per cell]

---

2.
Structure and simulated powder diffractogram of Rb2HgAuBr6 (a cell relaxed with PBE; Cu Kα (λ = 1.5418 Å)).
Lines closer than 0.1° are merged.

Largest 10 diffraction maxima, in order of falling intensity, 2θ from 10° to 90°:
2theta  Rel. int.  index
32.28  100  4 0 0
46.30  72  4 4 0
15.98  71  2 0 0
22.67  70  2 2 0
36.22  39  4 2 0
39.81  33  4 2 2
76.87  32  8 4 0
57.57  25  4 4 4
85.84  25  8 4 4
49.29  21  6 0 0

Crystal structure
Cell lengths 11.0921, 11.0921, 11.0921 Å; angles 90.00, 90.00, 90.00 degrees
Space group Fm-3m (No. 225)
Unique sites:
Rb 0.2500 0.2500 0.2500 [8 per cell]
Hg 0.0000 0.0000 0.0000 [4 per cell]
Au 0.0000 0.0000 0.5000 [4 per cell]
Br 0.0000 0.0000 0.2559 [24 per cell]